Computed powder XRD pattern of Dy4MgAg5 for Cu Kα X-rays, from a structure optimized by DFT (GGA-PBE).
Kinematic intensities with the Lorentz-polarization factor, no thermal factor.

Principal peaks in the range 2θ = 5–70°, low angle first:
hkl, 2θ/deg, I/Imax
1 0 4, 31.95, 8.3
1 0 5, 35.31, 100.0
1 1 0, 35.66, 51.6
2 0 0, 51.32, 17.9
1 1 10, 63.15, 15.0
2 1 5, 63.83, 34.5

Structure:
Unit cell a=3.5609 b=3.5609 c=18.1474 alpha=90.00 beta=90.00 gamma=90.00
Fractional coordinates of all 10 atoms:
Dy (0.0000, 0.0000, 0.1031)
Dy (0.0000, 0.0000, 0.3091)
Dy (0.0000, 0.0000, 0.6909)
Dy (0.0000, 0.0000, 0.8969)
Mg (0.0000, 0.0000, 0.5000)
Ag (0.5000, 0.5000, 0.0000)
Ag (0.5000, 0.5000, 0.2064)
Ag (0.5000, 0.5000, 0.4120)
Ag (0.5000, 0.5000, 0.5880)
Ag (0.5000, 0.5000, 0.7936)